1.
Structure and computed X-ray powder pattern of HfZrCuTc (a structure optimized by DFT (GGA-PBE); CuKα).

Principal peaks in the range 2θ from 5° to 70°, in order of rising 2θ:
2θ/deg, I/Imax
23.5, 9.6
27.2, 6.4
38.9, 100.0
45.9, 5.2
48.1, 1.9
56.1, 16.8
61.7, 2.3
63.5, 2.6

Structure:
Cell lengths 6.555, 6.555, 6.555 Å; angles 90.00, 90.00, 90.00 degrees
Fractional positions:
Hf: 0.000 0.000 0.000
Hf: 0.000 0.500 0.500
Hf: 0.500 0.000 0.500
Hf: 0.500 0.500 0.000
Zr: 0.000 0.000 0.500
Zr: 0.000 0.500 0.000
Zr: 0.500 0.000 0.000
Zr: 0.500 0.500 0.500
Cu: 0.250 0.250 0.750
Cu: 0.250 0.750 0.250
Cu: 0.750 0.250 0.250
Cu: 0.750 0.750 0.750
Tc: 0.250 0.250 0.250
Tc: 0.250 0.750 0.750
Tc: 0.750 0.250 0.750
Tc: 0.750 0.750 0.250

---

2.
Structure and computed X-ray powder pattern of DyPa2Te6 (a structure optimized by DFT (GGA-PBE); CuKα).

Principal peaks in the range 2θ from 5° to 70°, in order of rising 2θ:
2θ/deg, I/Imax
17.2, 96.9
23.5, 30.4
26.6, 70.6
27.4, 23.3
34.2, 100.0
34.8, 46.8
40.8, 22.3
42.5, 62.7
44.3, 14.5
44.6, 17.8
54.7, 25.9
67.7, 15.3

Structure:
Cell lengths 7.287, 7.287, 13.267 Å; angles 90.00, 90.00, 90.00 degrees
Fractional positions:
Dy: 0.000 0.000 0.000
Dy: 0.500 0.500 0.500
Pa: 0.000 0.000 0.334
Pa: 0.000 0.000 0.666
Pa: 0.500 0.500 0.166
Pa: 0.500 0.500 0.834
Te: 0.199 0.199 0.500
Te: 0.203 0.203 0.169
Te: 0.203 0.203 0.831
Te: 0.297 0.703 0.331
Te: 0.297 0.703 0.669
Te: 0.301 0.699 0.000
Te: 0.699 0.301 0.000
Te: 0.703 0.297 0.331
Te: 0.703 0.297 0.669
Te: 0.797 0.797 0.169
Te: 0.797 0.797 0.831
Te: 0.801 0.801 0.500

---

3.
Structure and computed X-ray powder pattern of PrYTlCu (a structure optimized by DFT (GGA-PBE); CuKα).

Principal peaks in the range 2θ from 5° to 70°, in order of rising 2θ:
2θ/deg, I/Imax
20.6, 17.4
23.8, 0.5
33.9, 100.0
39.9, 10.0
48.7, 18.0
53.3, 4.5
60.6, 36.9
64.7, 3.5

Structure:
Cell lengths 7.486, 7.486, 7.486 Å; angles 90.00, 90.00, 90.00 degrees
Fractional positions:
Pr: 0.000 0.000 0.000
Pr: 0.000 0.500 0.500
Pr: 0.500 0.000 0.500
Pr: 0.500 0.500 0.000
Y: 0.000 0.000 0.500
Y: 0.000 0.500 0.000
Y: 0.500 0.000 0.000
Y: 0.500 0.500 0.500
Tl: 0.250 0.250 0.750
Tl: 0.250 0.750 0.250
Tl: 0.750 0.250 0.250
Tl: 0.750 0.750 0.750
Cu: 0.250 0.250 0.250
Cu: 0.250 0.750 0.750
Cu: 0.750 0.250 0.750
Cu: 0.750 0.750 0.250

---

4.
Structure and computed X-ray powder pattern of Rb3Pr2US6 (a structure optimized by DFT (GGA-PBE); CuKα).

Principal peaks in the range 2θ from 5° to 70°, in order of rising 2θ:
2θ/deg, I/Imax
11.5, 31.3
23.0, 23.5
25.6, 48.0
28.9, 100.0
36.7, 9.3
39.8, 37.1
43.0, 34.4
46.5, 14.1
49.3, 19.8
52.6, 18.0
60.0, 11.8
65.6, 14.1

Structure:
Cell lengths 7.292, 7.292, 8.092 Å; angles 98.64, 98.64, 120.03 degrees
Fractional positions:
Rb: 0.000 0.000 0.000
Rb: 0.331 0.669 0.000
Rb: 0.669 0.331 0.000
Pr: 0.166 0.834 0.500
Pr: 0.834 0.166 0.500
U: 0.500 0.500 0.500
S: 0.111 0.434 0.303
S: 0.243 0.243 0.697
S: 0.434 0.111 0.303
S: 0.566 0.889 0.697
S: 0.757 0.757 0.303
S: 0.889 0.566 0.697